PaVF: theoretical powder diffractogram (Cu Kα (λ = 1.5418 Å)), based on a DFT-relaxed cell (PBE+U, Alexandria).
Peak positions follow from Bragg's law for the DFT cell and can differ from measured ones.

Main lines, by angle (2θ = 5–70°):
| d [Å] | 2θ/deg | I_rel | h k l |
| --- | --- | --- | --- |
| 6.202 | 14.28 | 53.5 | 0 0 1 |
| 5.430 | 16.32 | 35.2 | 2 0 0 |
| 3.658 | 24.33 | 52.9 | 2 0 1 |
| 3.039 | 29.39 | 30.6 | 2 0 -2 |
| 2.825 | 31.67 | 100.0 | 1 1 -1 |
| 2.752 | 32.53 | 47.3 | 4 0 -1 |
| 2.671 | 33.55 | 29.3 | 1 1 1 |
| 2.394 | 37.58 | 58.9 | 3 1 0 |
| 2.106 | 42.95 | 30.8 | 1 1 2 |
| 2.067 | 43.79 | 41.5 | 0 0 3 |

Crystal structure
Cell: 11.2158 3.1904 6.4047 Å, 90.00 104.46 90.00°
Space group C2/m (No. 12)
Symmetry-distinct sites (fractional):
1 Pa 0.1758 0.0000 0.1707 (multiplicity 4)
2 V 0.0528 0.5000 0.7884 (multiplicity 4)
3 F 0.1295 0.5000 0.5014 (multiplicity 4)